# CrNiP2O8
Computed powder diffractogram, Cu Kα. Input: a crystal structure in Alexandria, relaxed with PBE+U.
Peak positions follow from Bragg's law for the DFT cell and can differ from measured ones.

Largest 10 diffraction maxima, low angle first, 2θ from 15° to 90°:
| two_theta | Rel. int. | (hkl) |
| --- | --- | --- |
| 18.01 | 67 | 0 0 2 |
| 20.57 | 70 | 1 0 -1 |
| 23.77 | 22 | 0 1 2 |
| 25.78 | 100 | 1 1 -1 |
| 30.27 | 41 | 1 1 -2 |
| 31.04 | 76 | 0 2 0 |
| 36.58 | 51 | 1 1 -3 |
| 36.70 | 57 | 1 1 3 |
| 37.52 | 30 | 1 2 -1 |
| 58.93 | 24 | 1 3 3 |

Atomic structure:
```
24
Lattice="4.803 0.000 0.000 0.000 5.763 0.000 -0.039 0.000 9.850" Properties=species:S:1:pos:R:3 pbc="T T T"
Cr 0.237 1.441 2.691
Cr 4.527 4.322 7.158
Ni 2.071 1.441 7.586
Ni 2.692 4.322 2.263
P 0.502 4.322 4.063
P 1.768 4.322 8.940
P 2.996 1.441 0.909
P 4.262 1.441 5.786
O 0.872 4.322 5.572
O 0.967 1.441 5.948
O 1.025 3.135 8.203
O 1.025 5.509 8.203
O 1.191 3.098 3.353
O 1.191 5.546 3.353
O 1.488 1.441 1.218
O 1.587 4.322 0.585
O 3.176 1.441 9.265
O 3.276 4.322 8.631
O 3.573 0.217 6.497
O 3.573 2.665 6.497
O 3.738 0.254 1.647
O 3.738 2.627 1.647
O 3.797 4.322 3.902
O 3.891 1.441 4.278
```